Structure and calculated X-ray diffraction stick pattern of Tb7Pm16Tm6 (the PBE geometry in Alexandria; Cu Ka).
Peak positions follow from Bragg's law for the DFT cell and can differ from measured ones.

Crystal structure
Lattice parameters (Å, degrees): 11.2516 11.2516 11.2516 60.00 60.00 60.00
Fractional coordinates of all 29 atoms:
1 Tb 0.0000 0.0000 0.0000
2 Tb 0.0000 0.0000 0.5000
3 Tb 0.0000 0.5000 0.0000
4 Tb 0.0000 0.5000 0.5000
5 Tb 0.5000 0.0000 0.0000
6 Tb 0.5000 0.0000 0.5000
7 Tb 0.5000 0.5000 0.0000
8 Pm 0.0522 0.6493 0.6493
9 Pm 0.1247 0.1247 0.1247
10 Pm 0.1247 0.1247 0.6260
11 Pm 0.1247 0.6260 0.1247
12 Pm 0.3507 0.3507 0.3507
13 Pm 0.3507 0.3507 0.9478
14 Pm 0.3507 0.9478 0.3507
15 Pm 0.3740 0.8753 0.8753
16 Pm 0.6260 0.1247 0.1247
17 Pm 0.6493 0.0522 0.6493
18 Pm 0.6493 0.6493 0.0522
19 Pm 0.6493 0.6493 0.6493
20 Pm 0.8753 0.3740 0.8753
21 Pm 0.8753 0.8753 0.3740
22 Pm 0.8753 0.8753 0.8753
23 Pm 0.9478 0.3507 0.3507
24 Tm 0.2644 0.2644 0.7356
25 Tm 0.2644 0.7356 0.2644
26 Tm 0.2644 0.7356 0.7356
27 Tm 0.7356 0.2644 0.2644
28 Tm 0.7356 0.2644 0.7356
29 Tm 0.7356 0.7356 0.2644

Principal peaks in the range 2θ from 10° to 80°, most intense first:
- d = 2.813 Å, rel. 100.0
- d = 1.624 Å, rel. 28.2
- d = 1.989 Å, rel. 14.8
- d = 3.062 Å, rel. 8.6
- d = 1.258 Å, rel. 8.3
- d = 1.406 Å, rel. 7.9